The following is a simulated powder X-ray diffraction pattern of Sm9TlSn2. It was derived from a crystal structure in Alexandria, relaxed with PBE, using Cu Kα X-rays.
Intensities are scaled so that the largest is 100.

Principal peaks in the range 2θ from 5° to 70°, in order of rising 2θ:
- 6.01°, d 14.710, I = 1
- 19.04°, d 4.660, I = 1
- 31.56°, d 2.835, I = 100
- 36.60°, d 2.455, I = 50
- 52.73°, d 1.736, I = 36
- 62.73°, d 1.481, I = 28
- 62.83°, d 1.479, I = 14
- 65.90°, d 1.417, I = 12

Crystal structure
abc: 4.913 4.913 14.710
angles: 90.00 90.00 90.00
Sites, in units of the cell vectors:
Sm  0.000  0.000  0.000
Sm  0.000  0.000  0.335
Sm  0.000  0.000  0.665
Sm  0.000  0.500  0.170
Sm  0.000  0.500  0.500
Sm  0.000  0.500  0.830
Sm  0.500  0.000  0.170
Sm  0.500  0.000  0.500
Sm  0.500  0.000  0.830
Tl  0.500  0.500  0.000
Sn  0.500  0.500  0.333
Sn  0.500  0.500  0.667